The following is a simulated powder diffractogram of Cs2RbCoO2. It was derived from a GGA+U-relaxed structure, using Cu Kα.
Kinematic intensities with the Lorentz-polarization factor, no thermal factor.

The 10 most intense peaks (5° ≤ 2θ ≤ 70°), low angle first:
3.143 Å, 28.4 deg, I = 100, (1 2 1); 3.033 Å, 29.5 deg, I = 12, (2 1 0); 2.936 Å, 30.4 deg, I = 15, (0 4 0); 2.311 Å, 39.0 deg, I = 13, (0 0 2); 2.144 Å, 42.1 deg, I = 10, (2 4 0); 1.882 Å, 48.4 deg, I = 11, (3 1 1); 1.815 Å, 50.3 deg, I = 12, (0 4 2); 1.733 Å, 52.8 deg, I = 10, (1 6 1); 1.572 Å, 58.7 deg, I = 7, (2 4 2); 1.450 Å, 64.2 deg, I = 8, (1 2 3)

Cell and atoms:
```
data_Cs2RbCoO2
_chemical_formula_sum 'Cs4 Rb2 Co2 O4'
_space_group_name_H-M_alt 'P n n m'
_space_group_IT_number 58
_cell_length_a 6.278
_cell_length_b 11.745
_cell_length_c 4.622
_cell_angle_alpha 90.00
_cell_angle_beta 90.00
_cell_angle_gamma 90.00
loop_
_space_group_symop_operation_xyz
'x,y,z'
'-x,-y,-z'
'-x,-y,z'
'x,y,-z'
'x+1/2,-y+1/2,-z+1/2'
'-x+1/2,y+1/2,z+1/2'
'-x+1/2,y+1/2,-z+1/2'
'x+1/2,-y+1/2,z+1/2'
loop_
_atom_site_label
_atom_site_type_symbol
_atom_site_fract_x
_atom_site_fract_y
_atom_site_fract_z
Cs1 Cs 0.071 0.228 0.000
Rb1 Rb 0.000 0.500 0.500
Co1 Co 0.000 0.000 0.500
O1 O 0.217 0.098 0.500
```